Record 1
The following is a theoretical powder X-ray diffraction pattern of NaAcGe. It was derived from DFT lattice parameters and positions (PBE), using λ = 1.5418 Å (Cu Kα).
No peak broadening, texture or thermal motion is included.

The 12 most intense peaks (2θ = 5–70°), sorted by position:
- 2θ = 10.55°, intensity 73, hkl 0 0 1
- 2θ = 21.93°, intensity 47, hkl 1 0 1
- 2θ = 27.23°, intensity 100, hkl 1 1 0
- 2θ = 28.73°, intensity 90, hkl 1 0 2
- 2θ = 29.28°, intensity 61, hkl 1 1 1
- 2θ = 32.02°, intensity 30, hkl 0 0 3
- 2θ = 34.76°, intensity 39, hkl 1 1 2
- 2θ = 38.90°, intensity 55, hkl 2 0 0
- 2θ = 42.53°, intensity 36, hkl 1 1 3
- 2θ = 49.06°, intensity 43, hkl 2 1 2
- 2θ = 51.24°, intensity 32, hkl 2 0 3
- 2θ = 58.54°, intensity 27, hkl 1 0 5

Structure:
Cell: 4.6308 4.6308 8.3844 Å, 90.00 90.00 90.00°
Sites, in units of the cell vectors:
Na: 0.2500 0.7500 0.0000
Na: 0.7500 0.2500 0.0000
Ac: 0.2500 0.2500 0.3512
Ac: 0.7500 0.7500 0.6488
Ge: 0.2500 0.2500 0.7331
Ge: 0.7500 0.7500 0.2669

***

Record 2
The following is a theoretical powder X-ray diffraction pattern of Dy4Bi2S9. It was derived from DFT lattice parameters and positions (PBE), using λ = 1.5418 Å (Cu Kα).
No peak broadening, texture or thermal motion is included.

The 12 most intense peaks (2θ = 5–70°), sorted by position:
- 2θ = 17.48°, intensity 38, hkl 1 0 2
- 2θ = 24.11°, intensity 96, hkl 0 1 4
- 2θ = 25.49°, intensity 100, hkl 1 1 0
- 2θ = 35.37°, intensity 46, hkl 2 0 4
- 2θ = 38.80°, intensity 78, hkl 1 1 6
- 2θ = 44.11°, intensity 46, hkl 1 2 4
- 2θ = 44.94°, intensity 46, hkl 3 0 0
- 2θ = 51.31°, intensity 24, hkl 0 1 10
- 2θ = 52.37°, intensity 15, hkl 2 2 0
- 2θ = 58.45°, intensity 16, hkl 3 1 4
- 2θ = 60.84°, intensity 20, hkl 2 2 6
- 2θ = 64.51°, intensity 20, hkl 1 2 10

Structure:
Cell: 6.9876 6.9876 18.6318 Å, 90.00 90.00 120.00°
Sites, in units of the cell vectors:
Dy: 0.3333 0.6667 0.1836
Dy: 0.3333 0.6667 0.4831
Dy: 0.3333 0.6667 0.6836
Dy: 0.3333 0.6667 0.9831
Dy: 0.6667 0.3333 0.0169
Dy: 0.6667 0.3333 0.3164
Dy: 0.6667 0.3333 0.5169
Dy: 0.6667 0.3333 0.8164
Bi: 0.0000 0.0000 0.1484
Bi: 0.0000 0.0000 0.3516
Bi: 0.0000 0.0000 0.6484
Bi: 0.0000 0.0000 0.8516
S: 0.0000 0.3070 0.2500
S: 0.0000 0.6930 0.7500
S: 0.0310 0.3775 0.5837
S: 0.0310 0.6535 0.0837
S: 0.3070 0.0000 0.2500
S: 0.3070 0.3070 0.7500
S: 0.3465 0.3775 0.0837
S: 0.3465 0.9690 0.5837
S: 0.3775 0.0310 0.9163
S: 0.3775 0.3465 0.4163
S: 0.6225 0.6535 0.5837
S: 0.6225 0.9690 0.0837
S: 0.6535 0.0310 0.4163
S: 0.6535 0.6225 0.9163
S: 0.6930 0.0000 0.7500
S: 0.6930 0.6930 0.2500
S: 0.9690 0.3465 0.9163
S: 0.9690 0.6225 0.4163

***

Question: Which formula does entry 1 have?
Answer: NaAcGe